(1)
Computed XRD peak list
Compound: Ac8Ni2Ge
Radiation: λ = 1.5418 Å (Cu Kα)
Structure: a PBE-relaxed structure
Neutral-atom scattering factors, no anomalous dispersion.

Top 10 peaks for 2θ = 10–80°, by angle:
two_theta	Rel. int.
21.9	39
24.9	56
27.0	87
27.6	100
28.5	85
29.2	83
30.3	48
31.2	67
33.5	53
35.5	48

Cell and atoms:
a b c (Å): 8.2271 8.2271 6.8365
angles (deg): 99.45 99.45 114.88
Positions (direct):
Ac 0.0000 0.0000 0.0000
Ac 0.0171 0.2835 0.5956
Ac 0.1627 0.5836 0.2071
Ac 0.2835 0.0171 0.5956
Ac 0.4502 0.7223 0.8052
Ac 0.5836 0.1627 0.2071
Ac 0.7206 0.7206 0.3731
Ac 0.7223 0.4502 0.8052
Ni 0.0583 0.6627 0.6671
Ni 0.6627 0.0583 0.6671
Ge 0.3601 0.3601 0.9871



(2)
Computed XRD peak list
Compound: AcNi2Ge2P
Radiation: λ = 1.5418 Å (Cu Kα)
Structure: a PBE-relaxed structure
Neutral-atom scattering factors, no anomalous dispersion.

Top 10 peaks for 2θ = 10–80°, by angle:
two_theta	Rel. int.
25.4	52
28.9	43
32.7	91
36.8	100
41.4	63
49.2	19
56.5	58
59.9	21
70.0	20
78.2	19

Cell and atoms:
a b c (Å): 4.3647 4.3647 5.9031
angles (deg): 90.00 90.00 90.00
Positions (direct):
Ac 0.0000 0.0000 0.0000
Ni 0.0000 0.5000 0.5000
Ni 0.5000 0.0000 0.5000
Ge 0.5000 0.5000 0.2428
Ge 0.5000 0.5000 0.7572
P 0.0000 0.0000 0.5000



(3)
Computed XRD peak list
Compound: Ac2Ni12Ge3Pd
Radiation: λ = 1.5418 Å (Cu Kα)
Structure: a PBE-relaxed structure
Neutral-atom scattering factors, no anomalous dispersion.

Top 10 peaks for 2θ = 10–80°, by angle:
two_theta	Rel. int.
22.5	40
26.5	65
26.9	36
27.5	100
27.9	38
32.6	51
42.3	31
42.8	45
46.0	70
47.6	59

Cell and atoms:
a b c (Å): 7.6470 7.6470 7.6470
angles (deg): 62.10 62.10 62.10
Positions (direct):
Ac 0.1085 0.1085 0.1085
Ac 0.8915 0.8915 0.8915
Ni 0.1345 0.6272 0.6272
Ni 0.1571 0.1571 0.4879
Ni 0.1571 0.4879 0.1571
Ni 0.3728 0.3728 0.8655
Ni 0.3728 0.8655 0.3728
Ni 0.4879 0.1571 0.1571
Ni 0.5121 0.8429 0.8429
Ni 0.6272 0.1345 0.6272
Ni 0.6272 0.6272 0.1345
Ni 0.8429 0.5121 0.8429
Ni 0.8429 0.8429 0.5121
Ni 0.8655 0.3728 0.3728
Ge 0.0000 0.5000 0.5000
Ge 0.5000 0.0000 0.5000
Ge 0.5000 0.5000 0.0000
Pd 0.5000 0.5000 0.5000



(4)
Computed XRD peak list
Compound: AcNiGe2Pt5
Radiation: λ = 1.5418 Å (Cu Kα)
Structure: a PBE-relaxed structure
Neutral-atom scattering factors, no anomalous dispersion.

Top 10 peaks for 2θ = 10–80°, by angle:
two_theta	Rel. int.
25.8	55
31.3	100
34.8	25
43.1	58
46.5	84
50.9	36
62.6	20
68.8	15
71.1	15
71.7	20

Cell and atoms:
a b c (Å): 4.1977 4.1977 10.3746
angles (deg): 90.00 90.00 90.00
Positions (direct):
Ac 0.0000 0.0000 0.0000
Ni 0.0000 0.0000 0.5000
Ge 0.5000 0.5000 0.2354
Ge 0.5000 0.5000 0.7646
Pt 0.0000 0.5000 0.3591
Pt 0.0000 0.5000 0.6409
Pt 0.5000 0.0000 0.3591
Pt 0.5000 0.0000 0.6409
Pt 0.5000 0.5000 0.0000



(5)
Computed XRD peak list
Compound: Ac2NiGeRh6
Radiation: λ = 1.5418 Å (Cu Kα)
Structure: a PBE-relaxed structure
Neutral-atom scattering factors, no anomalous dispersion.

Top 10 peaks for 2θ = 10–80°, by angle:
two_theta	Rel. int.
27.0	66
31.9	100
32.0	32
33.2	37
33.3	75
38.7	79
42.5	26
50.8	41
55.6	28
58.7	29

Cell and atoms:
a b c (Å): 6.5648 6.5648 6.5881
angles (deg): 119.66 119.66 60.33
Positions (direct):
Ac 0.2148 0.2148 0.2846
Ac 0.7852 0.7852 0.7154
Ni 0.5000 0.5000 0.0000
Ge 0.0000 0.0000 0.5000
Rh 0.2482 0.2482 0.8461
Rh 0.2492 0.6564 0.2523
Rh 0.3436 0.7508 0.7477
Rh 0.6564 0.2492 0.2523
Rh 0.7508 0.3436 0.7477
Rh 0.7518 0.7518 0.1539



(6)
Computed XRD peak list
Compound: Ac2ScNi4Ge3
Radiation: λ = 1.5418 Å (Cu Kα)
Structure: a PBE-relaxed structure
Neutral-atom scattering factors, no anomalous dispersion.

Top 10 peaks for 2θ = 10–80°, by angle:
two_theta	Rel. int.
22.5	32
29.5	34
33.4	80
34.3	100
42.2	55
49.0	27
54.9	40
61.2	18
66.6	21
72.1	23

Cell and atoms:
a b c (Å): 4.2840 4.2840 10.3087
angles (deg): 90.00 90.00 90.00
Positions (direct):
Ac 0.0000 0.5000 0.2347
Ac 0.5000 0.0000 0.7653
Sc 0.0000 0.0000 0.5000
Ni 0.0000 0.0000 0.0000
Ni 0.0000 0.5000 0.6430
Ni 0.5000 0.0000 0.3570
Ni 0.5000 0.5000 0.0000
Ge 0.0000 0.5000 0.8840
Ge 0.5000 0.0000 0.1160
Ge 0.5000 0.5000 0.5000